# 1
CaInGa: calculated powder X-ray diffraction pattern (a wavelength of 1.5418 Å), based on a GGA-PBE-relaxed structure.

Largest 10 diffraction maxima, by angle, 10° ≤ 2θ ≤ 80°:
2θ/deg	d [Å]	intensity
18.60	4.770	80.7
35.07	2.559	100.0
35.60	2.522	24.6
35.88	2.503	90.1
36.68	2.450	71.8
37.72	2.385	69.7
43.08	2.100	28.5
57.45	1.604	27.7
62.90	1.478	42.3
76.05	1.251	23.8

Structure:
a b c (Å): 5.822 6.065 8.318
angles (deg): 90.00 90.00 90.00
Fractional coordinates of all 12 atoms:
Ca1 0.000 0.250 0.121
Ca2 0.000 0.750 0.879
Ca3 0.500 0.250 0.379
Ca4 0.500 0.750 0.621
In1 0.000 0.000 0.500
In2 0.000 0.500 0.500
In3 0.500 0.000 0.000
In4 0.500 0.500 0.000
Ga1 0.250 0.250 0.750
Ga2 0.250 0.750 0.250
Ga3 0.750 0.250 0.750
Ga4 0.750 0.750 0.250

# 2
Ca3In2Ga4: calculated powder X-ray diffraction pattern (a wavelength of 1.5418 Å), based on a GGA-PBE-relaxed structure.

Largest 10 diffraction maxima, by angle, 10° ≤ 2θ ≤ 80°:
2θ/deg	d [Å]	intensity
22.25	3.995	23.5
22.70	3.918	51.6
27.76	3.214	21.6
31.65	2.827	35.4
31.90	2.805	36.5
32.09	2.790	88.5
38.80	2.321	100.0
39.16	2.300	71.6
45.22	2.005	22.5
51.21	1.784	25.7

Structure:
a b c (Å): 6.043 6.043 9.009
angles (deg): 108.18 108.18 44.73
Fractional coordinates of all 9 atoms:
Ca1 0.000 0.000 0.000
Ca2 0.357 0.357 0.318
Ca3 0.643 0.643 0.682
In1 0.351 0.351 0.693
In2 0.649 0.649 0.307
Ga1 0.088 0.088 0.432
Ga2 0.285 0.285 0.961
Ga3 0.715 0.715 0.039
Ga4 0.912 0.912 0.568

# 3
Ca7In2Ga: calculated powder X-ray diffraction pattern (a wavelength of 1.5418 Å), based on a GGA-PBE-relaxed structure.

Largest 10 diffraction maxima, by angle, 10° ≤ 2θ ≤ 80°:
2θ/deg	d [Å]	intensity
19.18	4.628	37.7
20.74	4.283	52.7
21.31	4.170	50.2
28.54	3.127	57.6
28.93	3.086	100.0
30.86	2.898	52.1
35.21	2.549	36.2
37.23	2.415	65.3
37.53	2.396	64.0
37.76	2.382	63.4

Structure:
a b c (Å): 9.635 9.635 10.731
angles (deg): 117.18 117.18 50.91
Fractional coordinates of all 20 atoms:
Ca1 0.097 0.626 0.003
Ca2 0.105 0.895 0.750
Ca3 0.193 0.412 0.638
Ca4 0.229 0.584 0.408
Ca5 0.374 0.903 0.497
Ca6 0.412 0.193 0.138
Ca7 0.416 0.771 0.092
Ca8 0.584 0.229 0.908
Ca9 0.588 0.807 0.862
Ca10 0.626 0.097 0.503
Ca11 0.771 0.416 0.592
Ca12 0.807 0.588 0.362
Ca13 0.895 0.105 0.250
Ca14 0.903 0.374 0.997
In1 0.194 0.194 0.297
In2 0.194 0.194 0.797
In3 0.806 0.806 0.203
In4 0.806 0.806 0.703
Ga1 0.496 0.504 0.750
Ga2 0.504 0.496 0.250

Repeat the third record exactly.
Ca7In2Ga: calculated powder X-ray diffraction pattern (a wavelength of 1.5418 Å), based on a GGA-PBE-relaxed structure.

Largest 10 diffraction maxima, by angle, 10° ≤ 2θ ≤ 80°:
2θ/deg	d [Å]	intensity
19.18	4.628	37.7
20.74	4.283	52.7
21.31	4.170	50.2
28.54	3.127	57.6
28.93	3.086	100.0
30.86	2.898	52.1
35.21	2.549	36.2
37.23	2.415	65.3
37.53	2.396	64.0
37.76	2.382	63.4

Structure:
a b c (Å): 9.635 9.635 10.731
angles (deg): 117.18 117.18 50.91
Fractional coordinates of all 20 atoms:
Ca1 0.097 0.626 0.003
Ca2 0.105 0.895 0.750
Ca3 0.193 0.412 0.638
Ca4 0.229 0.584 0.408
Ca5 0.374 0.903 0.497
Ca6 0.412 0.193 0.138
Ca7 0.416 0.771 0.092
Ca8 0.584 0.229 0.908
Ca9 0.588 0.807 0.862
Ca10 0.626 0.097 0.503
Ca11 0.771 0.416 0.592
Ca12 0.807 0.588 0.362
Ca13 0.895 0.105 0.250
Ca14 0.903 0.374 0.997
In1 0.194 0.194 0.297
In2 0.194 0.194 0.797
In3 0.806 0.806 0.203
In4 0.806 0.806 0.703
Ga1 0.496 0.504 0.750
Ga2 0.504 0.496 0.250